Simulated powder X-ray diffraction pattern
Compound: Hf2Pd2O5
Radiation: Cu Kα X-rays
Structure: a structure optimized by DFT (PBE)

Most intense lines, 2θ = 10–90°, in order of rising 2θ:
Position (°2θ)	I (rel.)
23.17	8
31.93	100
33.00	41
44.15	11
47.37	23
56.21	23
58.27	36
66.75	12
73.52	9
78.27	8

Cell and atoms:
```
Hf2Pd2O5
1.0
3.838 0.000 0.000
0.000 3.838 0.000
0.000 0.000 8.205
Hf Pd O
2 2 5
direct
0.000 0.000 0.242
0.000 0.000 0.758
0.500 0.500 0.000
0.500 0.500 0.500
0.000 0.000 0.000
0.000 0.500 0.324
0.000 0.500 0.676
0.500 0.000 0.324
0.500 0.000 0.676
```